No. 1
This entry pairs a crystal structure of Ba3SrRu2O9 with its theoretical powder diffractogram. Radiation: Cu Ka. Structure: a structure optimized by DFT (GGA-PBE).
Lines closer than 0.1° are merged.

Peak list (10 most intense, 10 to 80 degrees two-theta, most intense first)
two_theta	d_spacing	I (rel.)
29.59	3.019	100.0
29.38	3.040	50.4
28.38	3.145	42.8
28.90	3.090	38.0
29.27	3.052	30.4
41.89	2.157	22.7
41.03	2.200	20.5
42.32	2.136	19.6
52.24	1.751	19.2
61.43	1.509	17.2

Structure:
```
30
Lattice="3.042 -5.217 0.000 3.042 5.217 0.000 -0.563 0.000 15.340" Properties=species:S:1:pos:R:3 pbc="T T T"
Ba 2.620 5.144 11.505
Ba 2.755 1.708 6.052
Ba 3.048 1.708 1.618
Ba 2.473 -1.708 13.721
Ba 2.766 -1.708 9.288
Ba 2.901 -5.144 3.835
Sr 0.000 0.000 0.000
Sr -0.282 0.000 7.670
Ru 2.420 1.752 12.894
Ru 2.819 1.752 10.116
Ru 2.702 -1.752 5.224
Ru 3.101 -1.752 2.446
O 1.289 2.491 11.270
O 2.190 3.424 13.781
O 0.828 0.988 13.645
O 1.660 1.006 8.794
O 3.050 3.424 9.229
O 1.109 -0.988 5.975
O 1.941 -1.006 1.124
O 3.950 2.491 11.739
O 2.620 0.167 11.505
O 2.901 -0.167 3.835
O 1.571 -2.491 3.600
O 3.580 1.006 14.216
O 4.412 0.988 9.365
O 2.471 -3.424 6.111
O 3.861 -1.006 6.546
O 4.693 -0.988 1.695
O 3.331 -3.424 1.559
O 4.232 -2.491 4.070
```



No. 2
This entry pairs a crystal structure of Ba4TbRu3O12 with its theoretical powder diffractogram. Radiation: Cu Ka. Structure: a structure optimized by DFT (GGA-PBE).
Lines closer than 0.1° are merged.

Peak list (10 most intense, 10 to 80 degrees two-theta, most intense first)
two_theta	d_spacing	I (rel.)
30.02	2.976	100.0
27.29	3.267	61.8
41.02	2.200	36.2
51.66	1.769	20.7
53.31	1.718	19.9
62.40	1.488	19.4
29.74	3.004	17.1
34.98	2.565	15.7
46.46	1.955	14.0
65.14	1.432	10.9

Structure:
```
20
Lattice="2.976 1.718 9.857 -2.976 1.718 9.857 0.000 -3.437 9.857" Properties=species:S:1:pos:R:3 pbc="T T T"
Ba 0.000 0.000 3.822
Ba 0.000 0.000 8.429
Ba 0.000 0.000 21.142
Ba 0.000 0.000 25.748
Tb 0.000 0.000 0.000
Ru 0.000 0.000 12.232
Ru 0.000 0.000 14.785
Ru 0.000 0.000 17.339
O -1.384 -0.799 13.536
O 0.000 -1.623 11.154
O -1.406 0.812 11.154
O -1.406 -0.812 18.417
O 0.000 -1.599 16.035
O -1.384 0.799 16.035
O 1.384 -0.799 13.536
O 0.000 1.599 13.536
O 1.406 0.812 11.154
O 1.406 -0.812 18.417
O 0.000 1.623 18.417
O 1.384 0.799 16.035
```



No. 3
This entry pairs a crystal structure of Ba2TmRuO6 with its theoretical powder diffractogram. Radiation: Cu Ka. Structure: a structure optimized by DFT (GGA-PBE).
Lines closer than 0.1° are merged.

Peak list (10 most intense, 10 to 80 degrees two-theta, most intense first)
two_theta	d_spacing	I (rel.)
30.13	2.966	100.0
53.52	1.712	40.2
43.14	2.097	29.1
62.65	1.483	18.2
71.08	1.326	17.8
79.10	1.211	6.1
18.32	4.843	2.5
35.49	2.529	2.3
47.23	1.924	1.4
37.13	2.421	1.2

Structure:
```
10
Lattice="0.000 4.194 4.194 4.194 0.000 4.194 4.194 4.194 0.000" Properties=species:S:1:pos:R:3 pbc="T T T"
Ba 2.097 2.097 2.097
Ba 6.291 6.291 6.291
Tm 0.000 0.000 0.000
Ru 4.194 4.194 4.194
O 4.194 4.194 2.206
O 4.194 2.206 4.194
O 6.183 4.194 4.194
O 2.206 4.194 4.194
O 4.194 6.183 4.194
O 4.194 4.194 6.183
```